1.
This entry pairs a crystal structure of AgPt with its theoretical powder diffractogram. Radiation: CuKα. Structure: a GGA-PBE-relaxed structure.
Kinematic intensities with the Lorentz-polarization factor, no thermal factor.

Structure:
```
data_AgPt
_cell_length_a 6.9890
_cell_length_b 5.8219
_cell_length_c 4.8933
_cell_angle_alpha 90.00
_cell_angle_beta 91.68
_cell_angle_gamma 90.00
_space_group_name_H-M_alt 'P 1 2/c 1'
_space_group_IT_number 13
_space_group_name_Hall '-P 2yc'
loop_
_atom_site_label
_atom_site_type_symbol
_atom_site_fract_x
_atom_site_fract_y
_atom_site_fract_z
Ag1 Ag 0.0000 0.1248 0.2500
Ag2 Ag 0.3319 0.3758 0.4137
Pt1 Pt 0.0000 0.3759 0.7500
Pt2 Pt 0.3368 0.1184 0.9080
```

Peak list (10 most intense, 15° ≤ 2θ ≤ 90°, sorted by position)
two_theta, d_spacing, I/Imax, (hkl)
38.40, 2.344, 100.0, 1 2 1
38.66, 2.329, 98.1, 3 0 0
44.22, 2.048, 66.8, 2 2 -1
45.92, 1.976, 30.0, 2 0 2
63.97, 1.455, 10.9, 0 4 0
65.65, 1.422, 40.6, 4 2 1
77.30, 1.234, 25.8, 3 4 0
77.79, 1.228, 24.9, 5 2 -1
79.92, 1.200, 11.7, 3 2 3
80.08, 1.198, 11.6, 5 0 2

=====

2.
This entry pairs a crystal structure of Ag5Pt6 with its theoretical powder diffractogram. Radiation: CuKα. Structure: a GGA-PBE-relaxed structure.
Kinematic intensities with the Lorentz-polarization factor, no thermal factor.

Structure:
```
data_Ag5Pt6
_cell_length_a 4.9087
_cell_length_b 6.4077
_cell_length_c 6.4747
_cell_angle_alpha 107.28
_cell_angle_beta 105.40
_cell_angle_gamma 98.73
_space_group_name_H-M_alt 'P -1'
_space_group_IT_number 2
_space_group_name_Hall '-P 1'
loop_
_atom_site_label
_atom_site_type_symbol
_atom_site_fract_x
_atom_site_fract_y
_atom_site_fract_z
Ag1 Ag 0.0000 0.0000 0.0000
Ag2 Ag 0.0980 0.8183 0.3696
Ag3 Ag 0.3635 0.2739 0.4528
Pt1 Pt 0.1820 0.6385 0.7334
Pt2 Pt 0.2754 0.4608 0.0837
Pt3 Pt 0.4535 0.0932 0.8287
```

Peak list (10 most intense, 15° ≤ 2θ ≤ 90°, sorted by position)
two_theta, d_spacing, I/Imax, (hkl)
38.48, 2.339, 51.3, -2 1 1
38.55, 2.336, 50.4, 1 -1 2
38.68, 2.328, 100.0, 0 2 1
44.17, 2.050, 33.9, 1 0 -3
44.51, 2.036, 34.6, 1 -3 1
45.92, 1.976, 30.8, 2 1 0
65.62, 1.423, 31.1, 3 -2 1
77.53, 1.231, 12.6, -1 2 4
79.88, 1.201, 12.2, 4 0 -1
80.20, 1.197, 11.9, 2 3 1

=====

3.
This entry pairs a crystal structure of Ag5Pt7 with its theoretical powder diffractogram. Radiation: CuKα. Structure: a GGA-PBE-relaxed structure.
Kinematic intensities with the Lorentz-polarization factor, no thermal factor.

Structure:
```
data_Ag5Pt7
_cell_length_a 5.7253
_cell_length_b 17.1993
_cell_length_c 4.0073
_cell_angle_alpha 90.00
_cell_angle_beta 90.00
_cell_angle_gamma 90.00
_space_group_name_H-M_alt 'C m m m'
_space_group_IT_number 65
_space_group_name_Hall '-C 2 2'
loop_
_atom_site_label
_atom_site_type_symbol
_atom_site_fract_x
_atom_site_fract_y
_atom_site_fract_z
Ag1 Ag 0.0000 0.0000 0.0000
Ag2 Ag 0.0000 0.1668 0.0000
Ag3 Ag 0.2500 0.2500 0.5000
Pt1 Pt 0.0000 0.3392 0.0000
Pt2 Pt 0.0000 0.5000 0.0000
Pt3 Pt 0.2423 0.4181 0.5000
```

Peak list (10 most intense, 15° ≤ 2θ ≤ 90°, sorted by position)
two_theta, d_spacing, I/Imax, (hkl)
16.32, 5.432, 4.6, 1 1 0
38.64, 2.330, 100.0, 2 0 1
44.74, 2.026, 32.7, 2 6 0
45.26, 2.004, 16.1, 0 0 2
65.08, 1.433, 5.2, 0 12 0
65.18, 1.431, 5.3, 4 0 0
65.53, 1.424, 20.9, 2 6 2
78.36, 1.220, 24.6, 4 6 1
79.11, 1.211, 12.4, 2 0 3
82.85, 1.165, 11.0, 4 0 2

=====

4.
This entry pairs a crystal structure of AgPt2 with its theoretical powder diffractogram. Radiation: CuKα. Structure: a GGA-PBE-relaxed structure.
Kinematic intensities with the Lorentz-polarization factor, no thermal factor.

Structure:
```
data_AgPt2
_cell_length_a 4.8951
_cell_length_b 4.9114
_cell_length_c 8.5621
_cell_angle_alpha 90.41
_cell_angle_beta 105.76
_cell_angle_gamma 99.50
_space_group_name_H-M_alt 'P 1'
_space_group_IT_number 1
_space_group_name_Hall 'P 1'
loop_
_atom_site_label
_atom_site_type_symbol
_atom_site_fract_x
_atom_site_fract_y
_atom_site_fract_z
Ag1 Ag 0.0000 0.0000 0.0000
Ag2 Ag 0.0007 0.0052 0.6669
Ag3 Ag 0.4978 0.7440 0.0806
Ag4 Ag 0.5025 0.2494 0.9174
Pt1 Pt 0.0021 0.5027 0.4968
Pt2 Pt 0.0055 0.4924 0.1735
Pt3 Pt 0.0075 0.9973 0.3323
Pt4 Pt 0.4871 0.7388 0.7393
Pt5 Pt 0.5019 0.7503 0.4161
Pt6 Pt 0.5047 0.2514 0.5822
Pt7 Pt 0.5130 0.2480 0.2592
Pt8 Pt 0.9927 0.5073 0.8296
```

Peak list (10 most intense, 15° ≤ 2θ ≤ 90°, sorted by position)
two_theta, d_spacing, I/Imax, (hkl)
38.61, 2.332, 33.7, 0 1 3
38.85, 2.318, 100.0, 1 1 -3
44.56, 2.033, 22.4, 1 -1 3
45.19, 2.007, 21.7, 1 2 0
45.52, 1.993, 21.3, -2 1 3
65.14, 1.432, 7.2, 2 1 3
78.23, 1.222, 8.4, 0 2 -6
79.24, 1.209, 8.4, 2 3 -3
79.72, 1.203, 8.2, -3 3 3
83.32, 1.160, 7.4, 2 2 -6

=====

5.
This entry pairs a crystal structure of AgPt with its theoretical powder diffractogram. Radiation: CuKα. Structure: a GGA-PBE-relaxed structure.
Kinematic intensities with the Lorentz-polarization factor, no thermal factor.

Structure:
```
data_AgPt
_cell_length_a 4.1263
_cell_length_b 4.1263
_cell_length_c 7.8006
_cell_angle_alpha 90.00
_cell_angle_beta 90.00
_cell_angle_gamma 90.00
_space_group_name_H-M_alt 'I 41/a m d'
_space_group_IT_number 141
loop_
_space_group_symop_operation_xyz
'x,y,z'
'-x,-y,-z'
'-y+1/4,x+3/4,z+1/4'
'y+1/4,-x+3/4,-z+1/4'
'-x+1/2,-y,z+1/2'
'x+1/2,y,-z+1/2'
'y+1/4,-x+1/4,z+3/4'
'-y+1/4,x+1/4,-z+3/4'
'x,-y,-z'
'-x,y,z'
'-y+1/4,-x+1/4,-z+3/4'
'y+1/4,x+1/4,z+3/4'
'-x+1/2,y,-z+1/2'
'x+1/2,-y,z+1/2'
'y+1/4,x+3/4,-z+1/4'
'-y+1/4,-x+3/4,z+1/4'
'x+1/2,y+1/2,z+1/2'
'-x+1/2,-y+1/2,-z+1/2'
'-y+3/4,x+1/4,z+3/4'
'y+3/4,-x+1/4,-z+3/4'
'-x,-y+1/2,z'
'x,y+1/2,-z'
'y+3/4,-x+3/4,z+1/4'
'-y+3/4,x+3/4,-z+1/4'
'x+1/2,-y+1/2,-z+1/2'
'-x+1/2,y+1/2,z+1/2'
'-y+3/4,-x+3/4,-z+1/4'
'y+3/4,x+3/4,z+1/4'
'-x,y+1/2,-z'
'x,-y+1/2,z'
'y+3/4,x+1/4,-z+3/4'
'-y+3/4,-x+1/4,z+3/4'
loop_
_atom_site_label
_atom_site_type_symbol
_atom_site_fract_x
_atom_site_fract_y
_atom_site_fract_z
Ag1 Ag 0.0000 0.2500 0.3750
Pt1 Pt 0.0000 0.2500 0.8750
```

Peak list (10 most intense, 15° ≤ 2θ ≤ 90°, sorted by position)
two_theta, d_spacing, I/Imax, (hkl)
24.40, 3.647, 10.5, 1 0 1
38.53, 2.336, 100.0, 1 1 2
43.88, 2.063, 34.6, 2 0 0
46.57, 1.950, 14.5, 0 0 4
50.85, 1.796, 3.4, 2 1 1
63.80, 1.459, 12.1, 2 2 0
65.91, 1.417, 20.3, 2 0 4
77.07, 1.237, 26.1, 3 1 2
80.96, 1.188, 11.5, 1 1 6
82.59, 1.168, 11.0, 2 2 4

=====

6.
This entry pairs a crystal structure of Ag5Pt7 with its theoretical powder diffractogram. Radiation: CuKα. Structure: a GGA-PBE-relaxed structure.
Kinematic intensities with the Lorentz-polarization factor, no thermal factor.

Structure:
```
data_Ag5Pt7
_cell_length_a 4.0144
_cell_length_b 8.0698
_cell_length_c 12.1513
_cell_angle_alpha 90.00
_cell_angle_beta 90.00
_cell_angle_gamma 90.00
_space_group_name_H-M_alt 'I m m m'
_space_group_IT_number 71
_space_group_name_Hall '-I 2 2'
loop_
_atom_site_label
_atom_site_type_symbol
_atom_site_fract_x
_atom_site_fract_y
_atom_site_fract_z
Ag1 Ag 0.0000 0.0000 0.0000
Ag2 Ag 0.0000 0.2470 0.5000
Ag3 Ag 0.0000 0.5000 0.3376
Pt1 Pt 0.0000 0.0000 0.3319
Pt2 Pt 0.0000 0.2607 0.1708
Pt3 Pt 0.0000 0.5000 0.0000
```

Peak list (10 most intense, 15° ≤ 2θ ≤ 90°, sorted by position)
two_theta, d_spacing, I/Imax, (hkl)
38.67, 2.329, 100.0, 1 2 3
44.75, 2.025, 16.4, 0 0 6
44.93, 2.017, 15.9, 0 4 0
45.17, 2.007, 16.1, 2 0 0
65.47, 1.426, 10.5, 2 0 6
65.61, 1.423, 10.5, 2 4 0
78.39, 1.220, 12.3, 1 2 9
78.66, 1.216, 11.8, 1 6 3
79.01, 1.212, 12.6, 3 2 3
82.93, 1.164, 10.7, 2 4 6

=====

7.
This entry pairs a crystal structure of Ag3Pt7 with its theoretical powder diffractogram. Radiation: CuKα. Structure: a GGA-PBE-relaxed structure.
Kinematic intensities with the Lorentz-polarization factor, no thermal factor.

Structure:
```
data_Ag3Pt7
_cell_length_a 4.0400
_cell_length_b 4.0233
_cell_length_c 19.8935
_cell_angle_alpha 90.00
_cell_angle_beta 90.00
_cell_angle_gamma 90.00
_space_group_name_H-M_alt 'A m m 2'
_space_group_IT_number 38
_space_group_name_Hall 'A 2 -2'
loop_
_atom_site_label
_atom_site_type_symbol
_atom_site_fract_x
_atom_site_fract_y
_atom_site_fract_z
Ag1 Ag 0.0000 0.0000 0.0000
Ag2 Ag 0.0000 0.0000 0.3995
Ag3 Ag 0.5000 0.0000 0.0993
Pt1 Pt 0.0000 0.0000 0.2003
Pt2 Pt 0.0000 0.0000 0.6023
Pt3 Pt 0.0000 0.0000 0.7966
Pt4 Pt 0.5000 0.0000 0.3001
Pt5 Pt 0.5000 0.0000 0.4989
Pt6 Pt 0.5000 0.0000 0.7013
Pt7 Pt 0.5000 0.0000 0.8976
```

Peak list (10 most intense, 15° ≤ 2θ ≤ 90°, sorted by position)
two_theta, d_spacing, I/Imax, (hkl)
38.86, 2.317, 100.0, 1 1 5
44.87, 2.020, 16.6, 2 0 0
45.07, 2.012, 17.2, 0 2 0
45.60, 1.989, 15.6, 0 0 10
65.48, 1.425, 10.7, 2 2 0
65.90, 1.417, 10.4, 2 0 10
78.69, 1.216, 12.8, 3 1 5
78.98, 1.212, 12.8, 1 3 5
79.75, 1.202, 12.1, 1 1 15
83.42, 1.159, 11.1, 2 2 10

=====

8.
This entry pairs a crystal structure of AgPt with its theoretical powder diffractogram. Radiation: CuKα. Structure: a GGA-PBE-relaxed structure.
Kinematic intensities with the Lorentz-polarization factor, no thermal factor.

Structure:
```
data_AgPt
_cell_length_a 5.7648
_cell_length_b 16.1828
_cell_length_c 2.8464
_cell_angle_alpha 90.00
_cell_angle_beta 90.00
_cell_angle_gamma 90.00
_space_group_name_H-M_alt 'C m m m'
_space_group_IT_number 65
_space_group_name_Hall '-C 2 2'
loop_
_atom_site_label
_atom_site_type_symbol
_atom_site_fract_x
_atom_site_fract_y
_atom_site_fract_z
Ag1 Ag 0.0000 0.1236 0.0000
Ag2 Ag 0.2392 0.5000 0.5000
Pt1 Pt 0.0000 0.3662 0.0000
Pt2 Pt 0.2500 0.2500 0.5000
```

Peak list (10 most intense, 15° ≤ 2θ ≤ 90°, sorted by position)
two_theta, d_spacing, I/Imax, (hkl)
38.34, 2.348, 100.0, 2 4 0
38.68, 2.328, 97.9, 0 4 1
44.77, 2.025, 96.2, 2 0 1
64.68, 1.441, 10.7, 4 0 0
65.18, 1.431, 39.5, 2 8 1
65.60, 1.423, 10.4, 0 0 2
77.97, 1.225, 24.7, 4 4 1
78.27, 1.221, 10.9, 2 12 0
78.48, 1.219, 10.8, 0 12 1
78.61, 1.217, 24.6, 2 4 2

=====

9.
This entry pairs a crystal structure of AgPt8 with its theoretical powder diffractogram. Radiation: CuKα. Structure: a GGA-PBE-relaxed structure.
Kinematic intensities with the Lorentz-polarization factor, no thermal factor.

Structure:
```
data_AgPt8
_cell_length_a 4.8721
_cell_length_b 4.8721
_cell_length_c 6.9231
_cell_angle_alpha 90.00
_cell_angle_beta 90.00
_cell_angle_gamma 120.00
_space_group_name_H-M_alt 'P -3 1 m'
_space_group_IT_number 162
_space_group_name_Hall '-P 3 2'
loop_
_atom_site_label
_atom_site_type_symbol
_atom_site_fract_x
_atom_site_fract_y
_atom_site_fract_z
Ag1 Ag 0.0000 0.0000 0.0000
Pt1 Pt 0.0000 0.3354 0.3330
Pt2 Pt 0.3333 0.6667 0.0000
```

Peak list (10 most intense, 15° ≤ 2θ ≤ 90°, sorted by position)
two_theta, d_spacing, I/Imax, (hkl)
39.03, 2.308, 33.7, 0 0 3
39.20, 2.298, 100.0, 2 -1 1
45.53, 1.992, 65.7, 1 1 2
66.24, 1.411, 21.7, 2 -1 4
66.48, 1.406, 21.4, 3 0 0
79.65, 1.204, 13.0, 1 1 5
79.87, 1.201, 25.8, 3 0 3
79.98, 1.200, 12.9, 2 2 1
83.85, 1.154, 4.0, 0 0 6
84.28, 1.149, 11.5, 4 -2 2

=====

10.
This entry pairs a crystal structure of Ag5Pt7 with its theoretical powder diffractogram. Radiation: CuKα. Structure: a GGA-PBE-relaxed structure.
Kinematic intensities with the Lorentz-polarization factor, no thermal factor.

Structure:
```
data_Ag5Pt7
_cell_length_a 5.7827
_cell_length_b 7.8862
_cell_length_c 8.6370
_cell_angle_alpha 90.00
_cell_angle_beta 90.00
_cell_angle_gamma 90.00
_space_group_name_H-M_alt 'C 2 2 2'
_space_group_IT_number 21
_space_group_name_Hall 'C 2 2'
loop_
_atom_site_label
_atom_site_type_symbol
_atom_site_fract_x
_atom_site_fract_y
_atom_site_fract_z
Ag1 Ag 0.0000 0.0000 0.0000
Ag2 Ag 0.0000 0.5000 0.3314
Ag3 Ag 0.2500 0.2500 0.8337
Pt1 Pt 0.0000 0.0000 0.3412
Pt2 Pt 0.0000 0.5000 0.0000
Pt3 Pt 0.2500 0.2500 0.1701
Pt4 Pt 0.2500 0.2500 0.4942
```

Peak list (10 most intense, 15° ≤ 2θ ≤ 90°, sorted by position)
two_theta, d_spacing, I/Imax, (hkl)
21.66, 4.103, 12.7, 1 1 1
38.61, 2.332, 100.0, 2 2 0
38.73, 2.325, 98.4, 0 2 3
44.41, 2.040, 66.8, 2 0 3
46.04, 1.972, 30.3, 0 4 0
65.88, 1.418, 41.0, 2 4 3
77.80, 1.228, 25.6, 4 2 3
78.01, 1.225, 24.8, 2 2 6
80.26, 1.196, 23.8, 2 6 0
82.79, 1.166, 11.1, 4 4 0

=====

11.
This entry pairs a crystal structure of Ag5Pt4 with its theoretical powder diffractogram. Radiation: CuKα. Structure: a GGA-PBE-relaxed structure.
Kinematic intensities with the Lorentz-polarization factor, no thermal factor.

Structure:
```
data_Ag5Pt4
_cell_length_a 12.4624
_cell_length_b 4.0078
_cell_length_c 6.3428
_cell_angle_alpha 90.00
_cell_angle_beta 108.47
_cell_angle_gamma 90.00
_space_group_name_H-M_alt 'C 1 2/m 1'
_space_group_IT_number 12
_space_group_name_Hall '-C 2y'
loop_
_atom_site_label
_atom_site_type_symbol
_atom_site_fract_x
_atom_site_fract_y
_atom_site_fract_z
Ag1 Ag 0.0000 0.0000 0.0000
Ag2 Ag 0.0557 0.5000 0.3271
Ag3 Ag 0.1116 0.0000 0.6637
Pt1 Pt 0.1734 0.5000 0.0051
Pt2 Pt 0.2243 0.0000 0.3328
```

Peak list (10 most intense, 15° ≤ 2θ ≤ 90°, sorted by position)
two_theta, d_spacing, I/Imax, (hkl)
38.30, 2.350, 100.0, 3 1 1
38.59, 2.333, 98.3, 3 1 -2
43.58, 2.077, 34.3, 6 0 -1
45.23, 2.005, 62.5, 0 2 0
64.63, 1.442, 20.9, 6 2 -1
65.89, 1.417, 20.0, 0 2 3
76.29, 1.248, 12.6, 9 1 0
76.86, 1.240, 12.5, 9 1 -3
78.88, 1.213, 12.0, 3 3 1
79.07, 1.211, 12.0, 3 3 -2

=====

12.
This entry pairs a crystal structure of Ag5Pt4 with its theoretical powder diffractogram. Radiation: CuKα. Structure: a GGA-PBE-relaxed structure.
Kinematic intensities with the Lorentz-polarization factor, no thermal factor.

Structure:
```
data_Ag5Pt4
_cell_length_a 9.5318
_cell_length_b 2.8506
_cell_length_c 11.8835
_cell_angle_alpha 90.00
_cell_angle_beta 111.37
_cell_angle_gamma 90.00
_space_group_name_H-M_alt 'C 1 m 1'
_space_group_IT_number 8
_space_group_name_Hall 'C -2y'
loop_
_atom_site_label
_atom_site_type_symbol
_atom_site_fract_x
_atom_site_fract_y
_atom_site_fract_z
Ag1 Ag 0.0000 0.0000 0.0000
Ag2 Ag 0.0567 0.5000 0.2234
Ag3 Ag 0.1537 0.5000 0.6632
Ag4 Ag 0.2207 0.0000 0.8942
Ag5 Ag 0.4334 0.0000 0.7686
Pt1 Pt 0.1056 0.0000 0.4439
Pt2 Pt 0.2792 0.5000 0.1186
Pt3 Pt 0.3357 0.0000 0.3329
Pt4 Pt 0.3728 0.5000 0.5419
```

Peak list (10 most intense, 15° ≤ 2θ ≤ 90°, sorted by position)
two_theta, d_spacing, I/Imax, (hkl)
38.31, 2.350, 100.0, 4 0 -1
38.54, 2.336, 98.8, 1 1 2
44.45, 2.038, 31.9, 2 0 4
44.77, 2.024, 65.0, 3 1 -3
64.86, 1.438, 30.4, 6 0 -6
64.99, 1.435, 19.9, 5 1 1
77.89, 1.227, 11.0, 3 1 6
77.99, 1.225, 12.2, 5 1 -8
78.10, 1.224, 12.2, 7 1 -4
78.49, 1.219, 24.6, 4 2 -1